(1)
Diffraction record for Rb2NbHgI6. The powder diffraction line list is computed, not measured: it uses a PBE-relaxed structure and Cu Kα (weighted mean of Kα1 and Kα2).
Kinematic intensities with the Lorentz-polarization factor, no thermal factor.

Main lines, in order of rising 2θ (15 to 90 degrees two-theta):
(hkl), 2θ/deg, d/Å, I (rel.)
2 2 0, 20.1, 4.425, 20
2 2 2, 24.6, 3.613, 50
4 0 0, 28.5, 3.129, 100
3 3 1, 31.1, 2.871, 19
4 2 0, 32.0, 2.799, 25
4 4 0, 40.8, 2.213, 70
6 2 2, 48.2, 1.887, 17
4 4 4, 50.5, 1.807, 23
8 4 0, 66.9, 1.399, 26
8 4 4, 74.2, 1.277, 17

Structural model:
```
data_Rb2NbHgI6
_chemical_formula_sum 'Rb8 Nb4 Hg4 I24'
_symmetry_space_group_name_H-M 'F m -3 m'
_symmetry_Int_Tables_number 225
_symmetry_space_group_name_Hall '-F 4 2 3'
_cell_length_a 12.5159
_cell_length_b 12.5159
_cell_length_c 12.5159
_cell_angle_alpha 90.00
_cell_angle_beta 90.00
_cell_angle_gamma 90.00
loop_
_atom_site_label
_atom_site_fract_x
_atom_site_fract_y
_atom_site_fract_z
Rb1 0.2500 0.2500 0.2500
Nb1 0.0000 0.0000 0.0000
Hg1 0.0000 0.0000 0.5000
I1 0.0000 0.0000 0.2256
```

---

(2)
Diffraction record for NpTe2Br5. The powder diffraction line list is computed, not measured: it uses a PBE-relaxed structure and Cu Kα (weighted mean of Kα1 and Kα2).
Kinematic intensities with the Lorentz-polarization factor, no thermal factor.

Main lines, in order of rising 2θ (15 to 90 degrees two-theta):
(hkl), 2θ/deg, d/Å, I (rel.)
0 2 0, 15.2, 5.832, 97
0 1 1, 17.6, 5.028, 84
2 2 0, 21.5, 4.124, 100
2 3 1, 32.0, 2.798, 32
1 1 2, 34.0, 2.640, 69
2 4 0, 34.4, 2.608, 66
1 3 2, 40.6, 2.223, 30
3 3 2, 46.4, 1.957, 52
5 1 2, 51.7, 1.768, 38
1 7 2, 65.8, 1.419, 30

Structural model:
```
data_NpTe2Br5
_chemical_formula_sum 'Np2 Te4 Br10'
_symmetry_space_group_name_H-M 'I m m 2'
_symmetry_Int_Tables_number 44
_cell_length_a 11.6591
_cell_length_b 11.6681
_cell_length_c 5.5729
_cell_angle_alpha 90.00
_cell_angle_beta 90.00
_cell_angle_gamma 90.00
loop_
_symmetry_equiv_pos_as_xyz
'x,y,z'
'-x,-y,z'
'-x,y,z'
'x,-y,z'
'x+1/2,y+1/2,z+1/2'
'-x+1/2,-y+1/2,z+1/2'
'-x+1/2,y+1/2,z+1/2'
'x+1/2,-y+1/2,z+1/2'
loop_
_atom_site_label
_atom_site_fract_x
_atom_site_fract_y
_atom_site_fract_z
Np1 0.0000 0.0000 0.0000
Te1 0.0000 0.5000 0.2422
Te2 0.0000 0.5000 0.7418
Br1 0.0000 0.0000 0.5000
Br2 0.1617 0.1609 0.9997
```

---

(3)
Diffraction record for Pm3TmSb3. The powder diffraction line list is computed, not measured: it uses a PBE-relaxed structure and Cu Kα (weighted mean of Kα1 and Kα2).
Kinematic intensities with the Lorentz-polarization factor, no thermal factor.

Main lines, in order of rising 2θ (15 to 90 degrees two-theta):
(hkl), 2θ/deg, d/Å, I (rel.)
3 0 1, 30.2, 2.959, 100
3 1 2, 35.9, 2.501, 67
4 2 0, 43.2, 2.092, 10
3 3 2, 45.5, 1.995, 8
4 2 2, 47.6, 1.910, 18
4 3 1, 49.7, 1.835, 24
6 1 1, 61.0, 1.518, 25
6 0 2, 62.8, 1.480, 12
5 4 1, 64.5, 1.444, 14
5 5 2, 74.5, 1.273, 15

Structural model:
```
data_Pm3TmSb3
_chemical_formula_sum 'Pm12 Tm4 Sb12'
_symmetry_space_group_name_H-M 'P 21 3'
_symmetry_Int_Tables_number 198
_symmetry_space_group_name_Hall 'P 2ac 2ab 3'
_cell_length_a 9.3573
_cell_length_b 9.3573
_cell_length_c 9.3573
_cell_angle_alpha 90.00
_cell_angle_beta 90.00
_cell_angle_gamma 90.00
loop_
_atom_site_label
_atom_site_fract_x
_atom_site_fract_y
_atom_site_fract_z
Pm1 0.0673 0.4327 0.5673
Pm2 0.1764 0.8236 0.3236
Pm3 0.1791 0.1791 0.1791
Tm1 0.0730 0.5730 0.9270
Sb1 0.0022 0.2566 0.8718
```

---

(4)
Diffraction record for Ce2Cu4S5. The powder diffraction line list is computed, not measured: it uses a PBE-relaxed structure and Cu Kα (weighted mean of Kα1 and Kα2).
Kinematic intensities with the Lorentz-polarization factor, no thermal factor.

Main lines, in order of rising 2θ (15 to 90 degrees two-theta):
(hkl), 2θ/deg, d/Å, I (rel.)
1 0 4, 27.7, 3.217, 58
1 0 7, 29.7, 3.006, 37
0 1 8, 30.6, 2.923, 23
0 0 18, 33.3, 2.693, 25
0 1 11, 33.7, 2.660, 100
1 0 16, 40.2, 2.243, 23
1 1 0, 47.2, 1.927, 66
1 0 22, 49.6, 1.839, 32
1 1 18, 58.9, 1.567, 27
2 0 11, 59.2, 1.560, 19

Structural model:
```
data_Ce2Cu4S5
_chemical_formula_sum 'Ce6 Cu12 S15'
_symmetry_space_group_name_H-M 'R -3 m'
_symmetry_Int_Tables_number 166
_symmetry_space_group_name_Hall '-R 3 2"'
_cell_length_a 3.8534
_cell_length_b 3.8534
_cell_length_c 48.4765
_cell_angle_alpha 90.00
_cell_angle_beta 90.00
_cell_angle_gamma 120.00
loop_
_atom_site_label
_atom_site_fract_x
_atom_site_fract_y
_atom_site_fract_z
Ce1 0.0000 0.0000 0.1318
Cu1 0.0000 0.0000 0.3116
Cu2 0.0000 0.0000 0.4126
S1 0.0000 0.0000 0.2377
S2 0.0000 0.0000 0.3655
S3 0.0000 0.0000 0.5000
```

---

(5)
Diffraction record for InIr2Ru2. The powder diffraction line list is computed, not measured: it uses a PBE-relaxed structure and Cu Kα (weighted mean of Kα1 and Kα2).
Kinematic intensities with the Lorentz-polarization factor, no thermal factor.

Main lines, in order of rising 2θ (15 to 90 degrees two-theta):
(hkl), 2θ/deg, d/Å, I (rel.)
1 1 0, 16.5, 5.361, 22
3 1 0, 37.5, 2.398, 62
2 0 1, 39.9, 2.257, 20
2 1 1, 41.7, 2.164, 100
3 2 0, 43.0, 2.103, 24
3 1 1, 50.0, 1.824, 15
3 2 1, 54.5, 1.684, 18
5 1 1, 71.8, 1.314, 17
5 2 1, 75.5, 1.259, 14
3 1 2, 79.0, 1.212, 14

Structural model:
```
data_InIr2Ru2
_chemical_formula_sum 'In2 Ir4 Ru4'
_symmetry_space_group_name_H-M 'P 4/m b m'
_symmetry_Int_Tables_number 127
_symmetry_space_group_name_Hall '-P 4 2ab'
_cell_length_a 7.5819
_cell_length_b 7.5819
_cell_length_c 2.8099
_cell_angle_alpha 90.00
_cell_angle_beta 90.00
_cell_angle_gamma 90.00
loop_
_atom_site_label
_atom_site_fract_x
_atom_site_fract_y
_atom_site_fract_z
In1 0.0000 0.0000 0.0000
Ir1 0.1227 0.3773 0.0000
Ru1 0.1726 0.6726 0.5000
```

---

(6)
Diffraction record for K2TlCd2Ag. The powder diffraction line list is computed, not measured: it uses a PBE-relaxed structure and Cu Kα (weighted mean of Kα1 and Kα2).
Kinematic intensities with the Lorentz-polarization factor, no thermal factor.

Main lines, in order of rising 2θ (15 to 90 degrees two-theta):
(hkl), 2θ/deg, d/Å, I (rel.)
1 2 1, 20.5, 4.324, 46
2 2 0, 25.5, 3.493, 40
0 2 2, 28.0, 3.188, 31
1 4 1, 28.7, 3.111, 50
2 4 0, 32.5, 2.753, 77
2 0 2, 34.4, 2.608, 100
0 4 2, 34.5, 2.597, 68
2 2 2, 36.4, 2.472, 60
2 6 0, 41.9, 2.156, 31
4 4 2, 59.1, 1.563, 32

Structural model:
```
data_K2TlCd2Ag
_chemical_formula_sum 'K8 Tl4 Cd8 Ag4'
_symmetry_space_group_name_H-M 'I b a m'
_symmetry_Int_Tables_number 72
_symmetry_space_group_name_Hall '-I 2 2c'
_cell_length_a 7.8244
_cell_length_b 15.5045
_cell_length_c 6.9957
_cell_angle_alpha 90.00
_cell_angle_beta 90.00
_cell_angle_gamma 90.00
loop_
_atom_site_label
_atom_site_fract_x
_atom_site_fract_y
_atom_site_fract_z
K1 0.2306 0.1674 0.0000
Tl1 0.0000 0.5000 0.2500
Cd1 0.2267 0.0917 0.5000
Ag1 0.0000 0.0000 0.2500
```

---

(7)
Diffraction record for Na5Tl2Sn4. The powder diffraction line list is computed, not measured: it uses a PBE-relaxed structure and Cu Kα (weighted mean of Kα1 and Kα2).
Kinematic intensities with the Lorentz-polarization factor, no thermal factor.

Main lines, in order of rising 2θ (15 to 90 degrees two-theta):
(hkl), 2θ/deg, d/Å, I (rel.)
3 1 -1, 25.3, 3.525, 49
0 2 0, 28.6, 3.117, 62
5 1 0, 30.1, 2.968, 56
2 2 0, 30.6, 2.924, 32
2 0 2, 31.7, 2.821, 33
1 1 -2, 32.8, 2.734, 52
5 1 1, 34.3, 2.616, 100
3 1 -2, 35.6, 2.524, 63
3 1 2, 37.2, 2.416, 36
8 2 -1, 53.8, 1.703, 32

Structural model:
```
data_Na5Tl2Sn4
_chemical_formula_sum 'Na10 Tl4 Sn8'
_symmetry_space_group_name_H-M 'C 1 2/m 1'
_symmetry_Int_Tables_number 12
_cell_length_a 16.9058
_cell_length_b 6.2343
_cell_length_c 6.1312
_cell_angle_alpha 90.00
_cell_angle_beta 93.53
_cell_angle_gamma 90.00
loop_
_symmetry_equiv_pos_as_xyz
'x,y,z'
'-x,-y,-z'
'-x,y,-z'
'x,-y,z'
'x+1/2,y+1/2,z'
'-x+1/2,-y+1/2,-z'
'-x+1/2,y+1/2,-z'
'x+1/2,-y+1/2,z'
loop_
_atom_site_label
_atom_site_fract_x
_atom_site_fract_y
_atom_site_fract_z
Na1 0.0000 0.0000 0.0000
Na2 0.0952 0.2629 0.6315
Tl1 0.1979 0.0000 0.0976
Sn1 0.0836 0.5000 0.1343
Sn2 0.2416 0.5000 0.3987
```

---

(8)
Diffraction record for Ac7Sn4Ir. The powder diffraction line list is computed, not measured: it uses a PBE-relaxed structure and Cu Kα (weighted mean of Kα1 and Kα2).
Kinematic intensities with the Lorentz-polarization factor, no thermal factor.

Main lines, in order of rising 2θ (15 to 90 degrees two-theta):
(hkl), 2θ/deg, d/Å, I (rel.)
1 1 -2, 21.8, 4.069, 50
4 0 -1, 22.0, 4.036, 52
3 1 1, 30.6, 2.923, 100
2 0 -4, 31.0, 2.889, 65
0 2 0, 31.2, 2.865, 69
5 1 -3, 31.8, 2.811, 83
4 2 -1, 38.5, 2.336, 26
2 2 -4, 44.5, 2.034, 50
6 0 2, 54.0, 1.698, 34
8 2 -2, 55.7, 1.650, 26

Structural model:
```
data_Ac7Sn4Ir
_chemical_formula_sum 'Ac14 Sn8 Ir2'
_symmetry_space_group_name_H-M 'C 1 2/m 1'
_symmetry_Int_Tables_number 12
_cell_length_a 16.8696
_cell_length_b 5.7305
_cell_length_c 12.0465
_cell_angle_alpha 90.00
_cell_angle_beta 126.43
_cell_angle_gamma 90.00
loop_
_symmetry_equiv_pos_as_xyz
'x,y,z'
'-x,-y,-z'
'-x,y,-z'
'x,-y,z'
'x+1/2,y+1/2,z'
'-x+1/2,-y+1/2,-z'
'-x+1/2,y+1/2,-z'
'x+1/2,-y+1/2,z'
loop_
_atom_site_label
_atom_site_fract_x
_atom_site_fract_y
_atom_site_fract_z
Ac1 0.0000 0.0000 0.0000
Ac2 0.0748 0.5000 0.2794
Ac3 0.1423 0.0000 0.5530
Ac4 0.2148 0.5000 0.8672
Sn1 0.0783 0.0000 0.7783
Sn2 0.2239 0.0000 0.3470
Ir1 0.0000 0.5000 0.0000
```